1.
The following is a simulated powder diffractogram of LiTm4Tl. It was derived from a DFT-relaxed cell (PBE, Alexandria), using a wavelength of 1.5418 Å.
Lines closer than 0.1° are merged.

Atomic structure:
Cell: 4.9859 4.9859 7.3872 Å, 90.00 90.00 90.00°
Space group P4/mmm (No. 123)
One atom of each set of equivalent atoms:
Li 0.0000 0.0000 0.0000
Tm 0.0000 0.5000 0.2438
Tl 0.5000 0.5000 0.5000

Peak list (10 most intense, 2θ from 5° to 70°, in order of rising 2θ)
- 2θ 17.79, intensity 13, (1 0 0)
- 2θ 21.50, intensity 19, (1 0 1)
- 2θ 24.09, intensity 19, (0 0 2)
- 2θ 25.26, intensity 34, (1 1 0)
- 2θ 35.19, intensity 100, (1 1 2)
- 2θ 36.03, intensity 47, (2 0 0)
- 2θ 43.81, intensity 15, (2 0 2)
- 2θ 51.87, intensity 17, (2 2 0)
- 2θ 62.60, intensity 19, (2 0 4)
- 2θ 64.23, intensity 35, (3 1 2)

2.
The following is a simulated powder diffractogram of In5Ga4Pb2. It was derived from a DFT-relaxed cell (PBE, Alexandria), using a wavelength of 1.5418 Å.
Lines closer than 0.1° are merged.

Atomic structure:
Cell: 6.3027 6.7551 7.8162 Å, 105.01 90.33 117.69°
Space group P-1 (No. 2)
One atom of each set of equivalent atoms:
In 0.0000 0.0000 0.0000
In 0.1712 0.7976 0.6045
In 0.3272 0.2049 0.4294
Ga 0.2569 0.5267 0.2536
Ga 0.3908 0.8966 0.1208
Pb 0.2228 0.4307 0.8301

Peak list (10 most intense, 2θ from 5° to 70°, in order of rising 2θ)
- 2θ 30.00, intensity 84, (0 2 -1)
- 2θ 30.73, intensity 68, (-2 1 1)
- 2θ 30.86, intensity 62, (2 -1 1)
- 2θ 31.60, intensity 34, (1 -2 2)
- 2θ 32.29, intensity 100, (0 1 2)
- 2θ 32.44, intensity 35, (2 0 0)
- 2θ 34.80, intensity 40, (0 1 -3)
- 2θ 36.29, intensity 35, (2 0 1)
- 2θ 42.72, intensity 60, (2 -3 0)
- 2θ 53.03, intensity 35, (0 3 1)

3.
The following is a simulated powder diffractogram of Li5PrHg4. It was derived from a DFT-relaxed cell (PBE, Alexandria), using a wavelength of 1.5418 Å.
Lines closer than 0.1° are merged.

Atomic structure:
Cell: 3.4352 3.4352 17.1631 Å, 90.00 90.00 90.00°
Space group P4/mmm (No. 123)
One atom of each set of equivalent atoms:
Li 0.0000 0.0000 0.0000
Li 0.0000 0.0000 0.1851
Li 0.0000 0.0000 0.3599
Pr 0.5000 0.5000 0.5000
Hg 0.5000 0.5000 0.0945
Hg 0.5000 0.5000 0.2833

Peak list (10 most intense, 2θ from 5° to 70°, in order of rising 2θ)
- 2θ 5.15, intensity 15, (0 0 1)
- 2θ 25.94, intensity 100, (1 0 0)
- 2θ 37.02, intensity 85, (1 1 0)
- 2θ 41.06, intensity 7, (1 0 6)
- 2θ 45.76, intensity 28, (1 1 5)
- 2θ 49.21, intensity 3, (1 1 6)
- 2θ 53.35, intensity 14, (2 0 0)
- 2θ 60.25, intensity 34, (2 1 0)
- 2θ 65.73, intensity 3, (1 0 11)
- 2θ 66.71, intensity 26, (2 1 5)

4.
The following is a simulated powder diffractogram of CeTl2PbCl8. It was derived from a DFT-relaxed cell (PBE, Alexandria), using a wavelength of 1.5418 Å.
Lines closer than 0.1° are merged.

Atomic structure:
Cell: 6.8872 8.7710 7.2769 Å, 90.00 92.00 90.00°
Space group P2/m (No. 10)
One atom of each set of equivalent atoms:
Ce 0.0000 0.0000 0.0000
Tl 0.5000 0.2556 0.5000
Pb 0.0000 0.5000 0.0000
Cl 0.2117 0.0000 0.3020
Cl 0.2147 0.2272 0.8661
Cl 0.2551 0.5000 0.3132

Peak list (10 most intense, 2θ from 5° to 70°, in order of rising 2θ)
- 2θ 17.43, intensity 100, (1 0 -1)
- 2θ 18.05, intensity 79, (1 0 1)
- 2θ 23.69, intensity 54, (0 2 1)
- 2θ 24.06, intensity 79, (1 2 0)
- 2θ 24.48, intensity 27, (0 0 2)
- 2θ 34.26, intensity 37, (1 2 -2)
- 2θ 34.93, intensity 28, (1 2 2)
- 2θ 35.05, intensity 51, (2 2 -1)
- 2θ 35.70, intensity 36, (2 2 1)
- 2θ 42.62, intensity 32, (0 2 3)